The following is a simulated XRD peak list of LiFeSiO4. It was derived from a cell relaxed with PBE+U, using copper Kα.
Lines closer than 0.1° are merged.

Structural model:
Cell lengths 7.847, 9.159, 4.984 Å; angles 90.00, 90.00, 90.00 degrees
Fractional positions:
Li  0.048  0.113  0.000
Li  0.452  0.613  0.500
Li  0.548  0.387  0.000
Li  0.952  0.887  0.500
Fe  0.177  0.522  0.059
Fe  0.323  0.022  0.559
Fe  0.677  0.978  0.059
Fe  0.823  0.478  0.559
Si  0.226  0.361  0.610
Si  0.274  0.861  0.110
Si  0.726  0.139  0.610
Si  0.774  0.639  0.110
O  0.051  0.444  0.722
O  0.137  0.966  0.276
O  0.218  0.191  0.711
O  0.246  0.867  0.786
O  0.254  0.367  0.286
O  0.282  0.691  0.211
O  0.363  0.466  0.776
O  0.449  0.944  0.222
O  0.551  0.056  0.722
O  0.637  0.534  0.276
O  0.718  0.309  0.711
O  0.746  0.633  0.786
O  0.754  0.133  0.286
O  0.782  0.809  0.211
O  0.863  0.034  0.776
O  0.949  0.556  0.222

Most intense lines, 2θ from 10° to 80°, low angle first:
d_spacing, two_theta, intensity, hkl
5.959, 14.87, 61, 1 1 0
4.580, 19.38, 98, 0 2 0
4.378, 20.28, 69, 0 1 1
3.924, 22.66, 100, 2 0 0
3.823, 23.27, 63, 1 1 1
2.557, 35.09, 46, 2 2 1
2.471, 36.36, 72, 1 3 1
1.770, 51.63, 39, 3 1 2

The following is a simulated XRD peak list of LiFeSiO4. It was derived from a cell relaxed with PBE+U, using copper Kα.
Lines closer than 0.1° are merged.

Structural model:
Cell lengths 7.499, 7.499, 9.622 Å; angles 90.00, 90.00, 120.00 degrees
Fractional positions:
Li  0.053  0.257  0.000
Li  0.205  0.947  0.000
Li  0.257  0.053  0.500
Li  0.743  0.795  0.000
Li  0.795  0.743  0.500
Li  0.947  0.205  0.500
Fe  0.059  0.601  0.220
Fe  0.399  0.458  0.220
Fe  0.458  0.399  0.720
Fe  0.542  0.941  0.220
Fe  0.601  0.059  0.720
Fe  0.941  0.542  0.720
Si  0.000  0.000  0.254
Si  0.000  0.000  0.754
Si  0.333  0.667  0.525
Si  0.333  0.667  0.917
Si  0.667  0.333  0.025
Si  0.667  0.333  0.417
O  0.000  0.000  0.421
O  0.000  0.000  0.921
O  0.099  0.505  0.577
O  0.110  0.872  0.190
O  0.128  0.238  0.190
O  0.138  0.689  0.865
O  0.238  0.128  0.690
O  0.311  0.449  0.865
O  0.333  0.667  0.093
O  0.333  0.667  0.347
O  0.406  0.901  0.577
O  0.449  0.311  0.365
O  0.495  0.594  0.577
O  0.505  0.099  0.077
O  0.551  0.862  0.865
O  0.594  0.495  0.077
O  0.667  0.333  0.593
O  0.667  0.333  0.847
O  0.689  0.138  0.365
O  0.762  0.890  0.190
O  0.862  0.551  0.365
O  0.872  0.110  0.690
O  0.890  0.762  0.690
O  0.901  0.406  0.077

Most intense lines, 2θ from 10° to 80°, low angle first:
d_spacing, two_theta, intensity, hkl
6.495, 13.63, 39, 1 0 0
4.811, 18.44, 71, 0 0 2
3.750, 23.73, 68, 1 1 0
3.247, 27.47, 50, 2 0 0
2.958, 30.22, 100, 2 -1 2
2.876, 31.10, 55, 1 0 3
2.692, 33.29, 72, 2 0 2
1.949, 46.59, 31, 2 1 3

The following is a simulated XRD peak list of Li2Fe5Si4O14. It was derived from a cell relaxed with PBE+U, using copper Kα.
Lines closer than 0.1° are merged.

Structural model:
Cell lengths 5.544, 7.567, 8.112 Å; angles 114.83, 91.55, 104.39 degrees
Fractional positions:
Li  0.231  0.101  0.455
Li  0.769  0.899  0.545
Fe  0.000  0.000  0.000
Fe  0.074  0.388  0.810
Fe  0.364  0.417  0.295
Fe  0.636  0.583  0.705
Fe  0.926  0.612  0.190
Si  0.211  0.790  0.608
Si  0.500  0.223  0.863
Si  0.500  0.777  0.137
Si  0.789  0.210  0.392
O  0.022  0.186  0.268
O  0.116  0.820  0.432
O  0.208  0.661  0.039
O  0.304  0.588  0.561
O  0.313  0.227  0.017
O  0.408  0.326  0.736
O  0.472  0.981  0.723
O  0.528  0.019  0.277
O  0.592  0.674  0.264
O  0.687  0.773  0.983
O  0.696  0.412  0.439
O  0.792  0.339  0.961
O  0.884  0.180  0.568
O  0.978  0.814  0.732

Most intense lines, 2θ from 10° to 80°, low angle first:
d_spacing, two_theta, intensity, hkl
6.580, 13.46, 33, 0 1 0
3.433, 25.96, 79, 1 -2 1
3.191, 27.96, 41, 1 1 -2
2.983, 29.96, 82, 1 -2 2
2.720, 32.93, 100, 0 1 2
2.548, 35.22, 41, -2 1 1
2.453, 36.64, 30, 1 1 -3
2.382, 37.76, 22, 2 0 1

The following is a simulated XRD peak list of Li2FeSiO4. It was derived from a cell relaxed with PBE+U, using copper Kα.
Lines closer than 0.1° are merged.

Structural model:
Cell lengths 11.005, 5.183, 6.311 Å; angles 90.00, 90.00, 90.00 degrees
Fractional positions:
Li  0.086  0.198  0.000
Li  0.175  0.811  0.753
Li  0.325  0.311  0.253
Li  0.414  0.698  0.500
Li  0.586  0.302  0.000
Li  0.675  0.689  0.753
Li  0.825  0.189  0.253
Li  0.914  0.802  0.500
Fe  0.086  0.318  0.518
Fe  0.414  0.818  0.018
Fe  0.586  0.182  0.518
Fe  0.914  0.682  0.018
Si  0.163  0.822  0.261
Si  0.337  0.322  0.761
Si  0.663  0.678  0.261
Si  0.837  0.178  0.761
O  0.089  0.714  0.473
O  0.092  0.756  0.036
O  0.167  0.141  0.270
O  0.197  0.203  0.758
O  0.303  0.703  0.258
O  0.333  0.641  0.770
O  0.408  0.256  0.536
O  0.411  0.214  0.973
O  0.589  0.786  0.473
O  0.592  0.744  0.036
O  0.667  0.359  0.270
O  0.697  0.297  0.758
O  0.803  0.797  0.258
O  0.833  0.859  0.770
O  0.908  0.244  0.536
O  0.911  0.286  0.973

Most intense lines, 2θ from 10° to 80°, low angle first:
d_spacing, two_theta, intensity, hkl
4.147, 21.42, 94, 2 0 1
4.005, 22.19, 100, 0 1 1
3.766, 23.63, 25, 1 1 1
2.751, 32.54, 31, 4 0 0
2.737, 32.72, 64, 2 0 2
2.618, 34.25, 22, 1 1 2
2.592, 34.61, 53, 0 2 0
1.586, 58.18, 34, 6 0 2